Record 1
The following is a computed powder diffraction line list of LaTbPrTh. It was derived from a DFT-relaxed cell (PBE, Alexandria), using Cu Ka.

Structural model:
Lattice parameters (Å, degrees): 3.623 3.623 10.444 90.00 90.00 90.00
Space group P4mm (No. 99)
Inequivalent atoms, fractional coordinates:
La  0.000  0.000  0.000 (multiplicity 1)
Tb  0.000  0.000  0.530 (multiplicity 1)
Pr  0.500  0.500  0.275 (multiplicity 1)
Th  0.500  0.500  0.762 (multiplicity 1)

Largest 10 diffraction maxima, in order of rising 2θ, 15 to 90 degrees two-theta:
30.0°, d = 2.977 Å, I 100, hkl 1 0 2; 34.3°, d = 2.611 Å, I 17, hkl 0 0 4; 35.0°, d = 2.562 Å, I 34, hkl 1 1 0; 49.9°, d = 1.829 Å, I 23, hkl 1 1 4; 50.4°, d = 1.811 Å, I 12, hkl 2 0 0; 58.9°, d = 1.569 Å, I 13, hkl 1 0 6; 59.8°, d = 1.547 Å, I 29, hkl 2 1 2; 62.4°, d = 1.488 Å, I 12, hkl 2 0 4; 81.1°, d = 1.186 Å, I 10, hkl 2 1 6; 81.9°, d = 1.177 Å, I 6, hkl 3 0 2


Record 2
The following is a computed powder diffraction line list of TbSmHoIn. It was derived from a DFT-relaxed cell (PBE, Alexandria), using Cu Ka.

Structural model:
Lattice parameters (Å, degrees): 4.855 4.879 4.889 90.00 90.00 90.00
Space group Pmmm (No. 47)
Inequivalent atoms, fractional coordinates:
Tb  0.000  0.000  0.000 (multiplicity 1)
Sm  0.500  0.500  0.000 (multiplicity 1)
Ho  0.000  0.500  0.500 (multiplicity 1)
In  0.500  0.000  0.500 (multiplicity 1)

Largest 10 diffraction maxima, in order of rising 2θ, 15 to 90 degrees two-theta:
31.8°, d = 2.814 Å, I 100, hkl 1 1 1; 36.8°, d = 2.442 Å, I 34, hkl 0 2 0; 37.0°, d = 2.427 Å, I 17, hkl 2 0 0; 53.0°, d = 1.727 Å, I 12, hkl 0 2 2; 53.2°, d = 1.722 Å, I 23, hkl 2 2 0; 63.2°, d = 1.472 Å, I 28, hkl 1 3 1; 63.5°, d = 1.465 Å, I 14, hkl 3 1 1; 66.4°, d = 1.407 Å, I 12, hkl 2 2 2; 87.0°, d = 1.120 Å, I 6, hkl 1 3 3; 87.3°, d = 1.117 Å, I 12, hkl 3 3 1


Record 3
The following is a computed powder diffraction line list of Dy2HgPb2. It was derived from a DFT-relaxed cell (PBE, Alexandria), using Cu Ka.

Structural model:
Lattice parameters (Å, degrees): 5.0699 5.0699 12.7559 90.00 90.00 120.00
Space group P6_3/mmc (No. 194)
Inequivalent atoms, fractional coordinates:
Dy  0.3333  0.6667  0.1018 (multiplicity 4)
Hg  0.0000  0.0000  0.2500 (multiplicity 2)
Pb  0.0000  0.0000  0.0000 (multiplicity 2)
Pb  0.3333  0.6667  0.7500 (multiplicity 2)

Largest 10 diffraction maxima, in order of rising 2θ, 15 to 90 degrees two-theta:
29.2°, d = 3.054 Å, I 73, hkl 1 0 3; 34.8°, d = 2.580 Å, I 46, hkl 1 0 4; 35.4°, d = 2.535 Å, I 100, hkl 1 1 0; 45.7°, d = 1.984 Å, I 14, hkl 1 1 4; 46.6°, d = 1.951 Å, I 21, hkl 2 0 3; 50.5°, d = 1.808 Å, I 16, hkl 2 0 4; 59.8°, d = 1.546 Å, I 20, hkl 2 1 3; 63.2°, d = 1.472 Å, I 17, hkl 2 1 4; 63.6°, d = 1.464 Å, I 19, hkl 3 0 0; 69.7°, d = 1.350 Å, I 21, hkl 1 1 8


Record 4
The following is a computed powder diffraction line list of Li2AcPuF8. It was derived from a DFT-relaxed cell (PBE, Alexandria), using Cu Ka.

Structural model:
Lattice parameters (Å, degrees): 5.421 5.421 11.791 90.00 90.00 90.00
Space group I-4 (No. 82)
Inequivalent atoms, fractional coordinates:
Li  0.000  0.000  0.000 (multiplicity 2)
Li  0.000  0.500  0.250 (multiplicity 2)
Ac  0.000  0.000  0.500 (multiplicity 2)
Pu  0.000  0.500  0.750 (multiplicity 2)
F  0.147  0.271  0.915 (multiplicity 8)
F  0.164  0.772  0.328 (multiplicity 8)

Largest 10 diffraction maxima, in order of rising 2θ, 15 to 90 degrees two-theta:
18.0°, d = 4.925 Å, I 100, hkl 1 0 1; 27.8°, d = 3.214 Å, I 78, hkl 1 1 2; 28.0°, d = 3.182 Å, I 27, hkl 1 0 3; 37.9°, d = 2.375 Å, I 36, hkl 2 1 1; 41.8°, d = 2.162 Å, I 16, hkl 1 0 5; 43.9°, d = 2.063 Å, I 27, hkl 1 2 3; 45.5°, d = 1.995 Å, I 26, hkl 2 0 4; 52.3°, d = 1.749 Å, I 15, hkl 1 1 6; 55.9°, d = 1.646 Å, I 25, hkl 1 3 2; 57.3°, d = 1.607 Å, I 16, hkl 2 2 4